Simulated X-ray diffraction stick pattern of V3Cu4S8 for Cu Kα (weighted mean of Kα1 and Kα2), from DFT lattice parameters and positions (GGA-PBE).

Main lines, sorted by position (10° ≤ 2θ ≤ 90°):
- 14.96°, rel. 40
- 24.43°, rel. 48
- 28.47°, rel. 100
- 28.57°, rel. 49
- 29.80°, rel. 29
- 30.19°, rel. 17
- 37.94°, rel. 22
- 42.71°, rel. 22
- 45.71°, rel. 20
- 49.57°, rel. 82
- 50.07°, rel. 75
- 73.12°, rel. 21

```
15
Lattice="3.678 2.124 5.921 -3.678 2.124 5.921 0.000 -4.247 5.921" Properties=species:S:1:pos:R:3 pbc="T T T"
V 0.000 -2.052 5.921
V -1.777 1.026 5.921
V 1.777 1.026 5.921
Cu 0.000 -1.966 10.220
Cu -1.703 0.983 10.220
Cu 0.000 0.000 14.109
Cu 1.703 0.983 10.220
S -1.958 -1.130 6.637
S 0.000 -2.229 3.741
S -1.931 1.115 3.741
S 0.000 0.000 0.733
S 0.000 0.000 9.169
S 1.958 -1.130 6.637
S 0.000 2.261 6.637
S 1.931 1.115 3.741
```


Simulated X-ray diffraction stick pattern of V2CuS4 for Cu Kα (weighted mean of Kα1 and Kα2), from DFT lattice parameters and positions (GGA-PBE).

Main lines, sorted by position (10° ≤ 2θ ≤ 90°):
- 25.52°, rel. 40
- 30.02°, rel. 100
- 36.40°, rel. 40
- 44.98°, rel. 16
- 47.88°, rel. 42
- 52.43°, rel. 88
- 61.60°, rel. 11
- 71.51°, rel. 8
- 73.71°, rel. 17
- 77.32°, rel. 13
- 85.10°, rel. 11
- 88.60°, rel. 10

```
14
Lattice="0.000 4.936 4.936 4.936 0.000 4.936 4.936 4.936 0.000" Properties=species:S:1:pos:R:3 pbc="T T T"
V 0.000 0.000 0.000
V 2.468 2.468 0.000
V 2.468 0.000 2.468
V 0.000 2.468 2.468
Cu 3.702 3.702 3.702
Cu 6.170 6.170 6.170
S 7.464 4.876 4.876
S 2.408 2.408 2.408
S 4.996 4.996 2.408
S 4.996 2.408 4.996
S 4.876 7.464 4.876
S 4.876 4.876 7.464
S 7.464 7.464 7.464
S 2.408 4.996 4.996
```


Simulated X-ray diffraction stick pattern of V2CuS4 for Cu Kα (weighted mean of Kα1 and Kα2), from DFT lattice parameters and positions (GGA-PBE).

Main lines, sorted by position (10° ≤ 2θ ≤ 90°):
- 25.52°, rel. 43
- 30.02°, rel. 100
- 36.40°, rel. 40
- 44.99°, rel. 19
- 47.88°, rel. 46
- 52.43°, rel. 87
- 61.61°, rel. 10
- 71.52°, rel. 10
- 73.72°, rel. 17
- 77.36°, rel. 8
- 85.11°, rel. 10
- 88.60°, rel. 7

```
14
Lattice="-3.488 3.489 4.940 3.488 -3.489 4.940 3.488 3.489 -4.940" Properties=species:S:1:pos:R:3 pbc="T T T"
V 0.000 1.619 0.000
V 1.877 3.489 -2.641
V 1.612 0.000 2.298
V 0.000 5.359 0.000
Cu 0.000 0.000 6.105
Cu 0.000 3.489 3.623
S 3.488 -1.608 2.483
S 1.616 3.489 -0.179
S 1.872 0.000 4.761
S 3.488 1.608 2.483
S 0.000 1.709 2.348
S 0.000 5.269 2.348
S -1.783 3.489 4.890
S 1.783 3.489 4.890
```


Simulated X-ray diffraction stick pattern of V4Cu3S8 for Cu Kα (weighted mean of Kα1 and Kα2), from DFT lattice parameters and positions (GGA-PBE).

Main lines, sorted by position (10° ≤ 2θ ≤ 90°):
- 14.20°, rel. 22
- 18.07°, rel. 31
- 28.62°, rel. 14
- 31.40°, rel. 100
- 32.50°, rel. 42
- 36.62°, rel. 45
- 39.46°, rel. 23
- 41.70°, rel. 20
- 46.32°, rel. 61
- 49.64°, rel. 18
- 50.22°, rel. 64
- 55.19°, rel. 56

```
15
Lattice="3.328 1.922 6.239 -3.328 1.922 6.239 0.000 -3.843 6.239" Properties=species:S:1:pos:R:3 pbc="T T T"
V 0.000 0.000 0.000
V -1.384 -0.799 6.222
V 1.384 -0.799 6.222
V 0.000 1.599 6.222
Cu -1.848 -1.067 8.943
Cu 1.848 -1.067 8.943
Cu 0.000 2.134 8.943
S 0.000 0.000 4.595
S 0.000 -1.946 7.758
S -1.685 0.973 7.758
S -1.654 -0.955 11.148
S 0.000 0.000 13.609
S 1.685 0.973 7.758
S 1.654 -0.955 11.148
S 0.000 1.910 11.148
```


Simulated X-ray diffraction stick pattern of V2CuS4 for Cu Kα (weighted mean of Kα1 and Kα2), from DFT lattice parameters and positions (GGA-PBE).

Main lines, sorted by position (10° ≤ 2θ ≤ 90°):
- 25.60°, rel. 49
- 29.93°, rel. 49
- 30.13°, rel. 100
- 36.39°, rel. 39
- 36.59°, rel. 20
- 45.20°, rel. 13
- 47.77°, rel. 22
- 47.98°, rel. 19
- 48.12°, rel. 22
- 52.10°, rel. 22
- 52.56°, rel. 86
- 52.73°, rel. 21

```
14
Lattice="-3.472 3.511 4.911 3.472 -3.511 4.911 3.472 3.511 -4.911" Properties=species:S:1:pos:R:3 pbc="T T T"
V 0.000 1.663 0.000
V 1.868 3.511 -2.368
V 1.604 0.000 2.544
V 0.000 5.359 0.000
Cu 0.000 0.000 6.209
Cu 0.000 3.511 3.738
S 3.472 1.806 -2.457
S 1.668 0.000 0.120
S 5.276 0.000 0.120
S 3.472 -1.628 2.562
S 0.000 1.705 2.455
S 3.472 1.628 2.562
S 1.621 3.511 -0.003
S 1.851 0.000 4.909
```


Simulated X-ray diffraction stick pattern of Cu2WS4 for Cu Kα (weighted mean of Kα1 and Kα2), from DFT lattice parameters and positions (GGA-PBE).

Main lines, sorted by position (10° ≤ 2θ ≤ 90°):
- 15.55°, rel. 100
- 16.25°, rel. 58
- 22.56°, rel. 48
- 27.93°, rel. 17
- 36.52°, rel. 39
- 40.21°, rel. 21
- 46.06°, rel. 42
- 47.12°, rel. 20
- 49.16°, rel. 13
- 49.92°, rel. 19
- 59.28°, rel. 14
- 86.85°, rel. 14

```
7
Lattice="5.456 0.000 0.000 0.000 5.456 0.000 0.000 0.000 5.699" Properties=species:S:1:pos:R:3 pbc="T T T"
Cu 0.000 2.728 0.000
Cu 2.728 0.000 0.000
W 0.000 0.000 0.000
S 1.295 1.295 4.398
S 1.295 4.161 1.301
S 4.161 1.295 1.301
S 4.161 4.161 4.398
```


Simulated X-ray diffraction stick pattern of Cu2WS4 for Cu Kα (weighted mean of Kα1 and Kα2), from DFT lattice parameters and positions (GGA-PBE).

Main lines, sorted by position (10° ≤ 2θ ≤ 90°):
- 16.70°, rel. 91
- 18.28°, rel. 100
- 28.60°, rel. 19
- 30.10°, rel. 25
- 32.82°, rel. 12
- 37.05°, rel. 48
- 37.83°, rel. 28
- 45.13°, rel. 20
- 47.10°, rel. 24
- 47.81°, rel. 45
- 50.32°, rel. 21
- 88.11°, rel. 15

```
14
Lattice="5.457 0.000 0.000 0.000 5.457 0.000 0.000 0.000 10.616" Properties=species:S:1:pos:R:3 pbc="T T T"
Cu 0.000 2.729 0.000
Cu 0.000 2.729 5.308
Cu 2.729 0.000 0.000
Cu 2.729 0.000 5.308
W 0.000 0.000 0.000
W 2.729 2.729 5.308
S 1.295 1.295 9.315
S 1.295 4.162 1.301
S 1.434 1.434 4.007
S 1.434 4.023 6.609
S 4.023 1.434 6.609
S 4.023 4.023 4.007
S 4.162 1.295 1.301
S 4.162 4.162 9.315
```


Simulated X-ray diffraction stick pattern of YCuS2 for Cu Kα (weighted mean of Kα1 and Kα2), from DFT lattice parameters and positions (GGA-PBE).

Main lines, sorted by position (10° ≤ 2θ ≤ 90°):
- 13.13°, rel. 46
- 24.37°, rel. 100
- 27.45°, rel. 81
- 33.37°, rel. 62
- 34.94°, rel. 31
- 37.20°, rel. 25
- 39.02°, rel. 75
- 39.26°, rel. 34
- 45.81°, rel. 38
- 46.45°, rel. 70
- 52.56°, rel. 23
- 60.77°, rel. 23

```
16
Lattice="3.962 0.000 0.000 0.000 6.265 0.000 0.000 0.000 13.484" Properties=species:S:1:pos:R:3 pbc="T T T"
Y 0.975 1.567 1.800
Y 1.006 4.698 8.542
Y 2.956 1.566 11.684
Y 2.986 4.699 4.942
Cu 0.965 3.911 12.884
Cu 1.016 2.354 6.141
Cu 2.946 5.486 0.601
Cu 2.997 0.778 7.343
S 0.972 0.015 12.951
S 0.977 3.080 10.738
S 1.004 3.184 3.996
S 1.008 6.249 6.209
S 2.953 3.117 0.533
S 2.957 0.052 2.746
S 2.985 6.213 9.488
S 2.989 3.148 7.275
```


Simulated X-ray diffraction stick pattern of YCuS2 for Cu Kα (weighted mean of Kα1 and Kα2), from DFT lattice parameters and positions (GGA-PBE).

Main lines, sorted by position (10° ≤ 2θ ≤ 90°):
- 13.13°, rel. 46
- 24.37°, rel. 100
- 27.44°, rel. 81
- 33.36°, rel. 62
- 34.93°, rel. 31
- 37.19°, rel. 25
- 39.01°, rel. 75
- 39.25°, rel. 34
- 45.80°, rel. 38
- 46.44°, rel. 70
- 52.55°, rel. 23
- 60.76°, rel. 23

```
16
Lattice="13.489 0.000 0.000 0.000 3.962 0.000 0.000 0.000 6.265" Properties=species:S:1:pos:R:3 pbc="T T T"
Y 1.801 0.991 0.000
Y 4.943 2.972 3.133
Y 8.545 0.991 3.132
Y 11.688 2.972 6.265
Cu 0.601 2.972 2.344
Cu 6.144 0.991 5.477
Cu 7.345 2.972 0.788
Cu 12.888 0.991 3.921
S 0.533 2.972 4.715
S 2.746 2.972 1.516
S 3.998 0.991 4.648
S 6.212 0.991 1.582
S 7.277 2.972 4.683
S 9.491 2.972 1.617
S 10.742 0.991 4.749
S 12.956 0.991 1.550
```


Simulated X-ray diffraction stick pattern of YCu2S2 for Cu Kα (weighted mean of Kα1 and Kα2), from DFT lattice parameters and positions (GGA-PBE).

Main lines, sorted by position (10° ≤ 2θ ≤ 90°):
- 29.73°, rel. 100
- 38.58°, rel. 81
- 42.27°, rel. 20
- 46.23°, rel. 63
- 55.94°, rel. 16
- 61.74°, rel. 19
- 64.22°, rel. 8
- 64.42°, rel. 32
- 75.41°, rel. 12
- 79.92°, rel. 11
- 80.49°, rel. 17
- 85.68°, rel. 10

```
5
Lattice="3.927 0.000 0.000 -1.964 3.401 0.000 0.000 0.000 6.414" Properties=species:S:1:pos:R:3 pbc="T T T"
Y 0.000 0.000 0.000
Cu 0.000 2.267 2.191
Cu 1.964 1.134 4.223
S 0.000 2.267 4.699
S 1.964 1.134 1.715
```


Simulated X-ray diffraction stick pattern of Zr2CuS4 for Cu Kα (weighted mean of Kα1 and Kα2), from DFT lattice parameters and positions (GGA-PBE).

Main lines, sorted by position (10° ≤ 2θ ≤ 90°):
- 14.69°, rel. 18
- 24.09°, rel. 18
- 28.33°, rel. 100
- 34.33°, rel. 46
- 45.09°, rel. 37
- 49.34°, rel. 75
- 57.87°, rel. 13
- 61.49°, rel. 10
- 69.05°, rel. 21
- 72.35°, rel. 11
- 79.44°, rel. 11
- 82.59°, rel. 14

```
14
Lattice="0.000 5.224 5.224 5.224 0.000 5.224 5.224 5.224 0.000" Properties=species:S:1:pos:R:3 pbc="T T T"
Zr 0.000 0.000 0.000
Zr 2.612 2.612 0.000
Zr 2.612 0.000 2.612
Zr 0.000 2.612 2.612
Cu 3.918 3.918 3.918
Cu 6.530 6.530 6.530
S 7.850 5.210 5.210
S 2.598 2.598 2.598
S 5.238 5.238 2.598
S 5.238 2.598 5.238
S 5.210 7.850 5.210
S 5.210 5.210 7.850
S 7.850 7.850 7.850
S 2.598 5.238 5.238
```


Simulated X-ray diffraction stick pattern of Cu11Sb3 for Cu Kα (weighted mean of Kα1 and Kα2), from DFT lattice parameters and positions (GGA-PBE).

Main lines, sorted by position (10° ≤ 2θ ≤ 90°):
- 37.30°, rel. 12
- 37.65°, rel. 27
- 41.81°, rel. 39
- 42.96°, rel. 53
- 43.27°, rel. 100
- 57.51°, rel. 15
- 67.49°, rel. 15
- 77.13°, rel. 9
- 77.35°, rel. 17
- 82.63°, rel. 17
- 83.25°, rel. 14
- 84.06°, rel. 13

```
14
Lattice="4.321 0.000 0.000 0.000 9.627 2.411 0.000 -9.627 2.411" Properties=species:S:1:pos:R:3 pbc="T T T"
Cu 0.000 0.000 0.000
Cu 0.000 -4.119 2.237
Cu 0.000 -1.405 2.187
Cu 0.000 1.405 2.187
Cu 0.000 4.119 2.237
Cu 2.161 -1.411 0.719
Cu 2.161 1.411 0.719
Cu 2.161 -5.393 3.138
Cu 2.161 -2.845 2.922
Cu 2.161 2.845 2.922
Cu 2.161 5.393 3.138
Sb 0.000 -6.820 2.229
Sb 0.000 6.820 2.229
Sb 2.161 0.000 3.077
```


Which formula does entry 6 have?
Cu2WS4